Theoretical powder XRD pattern of Na2TeOsO6 for Cu Kα (λ = 1.5418 Å), from a DFT-relaxed cell (GGA-PBE, Alexandria).

Atomic structure:
```
data_Na2TeOsO6
_space_group_name_H-M_alt 'P 4 m m'
_space_group_IT_number 99
_cell_length_a 5.556
_cell_length_b 5.556
_cell_length_c 4.910
_cell_angle_alpha 90.00
_cell_angle_beta 90.00
_cell_angle_gamma 90.00
loop_
_space_group_symop_operation_xyz
'x,y,z'
'-y,x,z'
'-x,-y,z'
'y,-x,z'
'-x,y,z'
'y,x,z'
'x,-y,z'
'-y,-x,z'
loop_
_atom_site_label
_atom_site_type_symbol
_atom_site_fract_x
_atom_site_fract_y
_atom_site_fract_z
_atom_site_occupancy
Na1 Na 0.000 0.500 0.000 1
Te1 Te 0.000 0.000 0.613 1
Os1 Os 0.500 0.500 0.575 1
O1 O 0.000 0.000 0.233 1
O2 O 0.268 0.268 0.703 1
O3 O 0.500 0.500 0.219 1
```

The 6 most intense peaks (10 to 90 degrees two-theta), by angle:
2θ = 18.1°, I = 656, hkl 0 0 1
2θ = 22.6°, I = 753, hkl 1 1 0
2θ = 29.1°, I = 1000, hkl 1 1 1
2θ = 32.2°, I = 373, hkl 2 0 0
2θ = 46.2°, I = 255, hkl 2 2 0
2θ = 55.6°, I = 328, hkl 3 1 1

=====

Theoretical powder XRD pattern of NaTlOsO4 for Cu Kα (λ = 1.5418 Å), from a DFT-relaxed cell (GGA-PBE, Alexandria).

Atomic structure:
```
data_NaTlOsO4
_space_group_name_H-M_alt 'I -4'
_space_group_IT_number 82
_cell_length_a 6.211
_cell_length_b 6.211
_cell_length_c 7.825
_cell_angle_alpha 90.00
_cell_angle_beta 90.00
_cell_angle_gamma 90.00
loop_
_space_group_symop_operation_xyz
'x,y,z'
'y,-x,-z'
'-x,-y,z'
'-y,x,-z'
'x+1/2,y+1/2,z+1/2'
'y+1/2,-x+1/2,-z+1/2'
'-x+1/2,-y+1/2,z+1/2'
'-y+1/2,x+1/2,-z+1/2'
loop_
_atom_site_label
_atom_site_type_symbol
_atom_site_fract_x
_atom_site_fract_y
_atom_site_fract_z
_atom_site_occupancy
Na1 Na 0.000 0.000 0.000 1
Tl1 Tl 0.000 0.000 0.500 1
Os1 Os 0.000 0.500 0.750 1
O1 O 0.143 0.733 0.825 1
```

The 6 most intense peaks (10 to 90 degrees two-theta), by angle:
2θ = 18.2°, I = 1000, hkl 1 0 1
2θ = 28.7°, I = 317, hkl 2 0 0
2θ = 30.6°, I = 689, hkl 1 1 2
2θ = 34.3°, I = 372, hkl 1 2 1
2θ = 37.4°, I = 171, hkl 1 0 3
2θ = 52.1°, I = 302, hkl 1 3 2

=====

Theoretical powder XRD pattern of Na2Tm2OsO6 for Cu Kα (λ = 1.5418 Å), from a DFT-relaxed cell (GGA-PBE, Alexandria).

Atomic structure:
```
data_Na2Tm2OsO6
_space_group_name_H-M_alt 'C 1 2/m 1'
_space_group_IT_number 12
_cell_length_a 5.639
_cell_length_b 9.793
_cell_length_c 5.892
_cell_angle_alpha 90.00
_cell_angle_beta 105.69
_cell_angle_gamma 90.00
loop_
_space_group_symop_operation_xyz
'x,y,z'
'-x,-y,-z'
'-x,y,-z'
'x,-y,z'
'x+1/2,y+1/2,z'
'-x+1/2,-y+1/2,-z'
'-x+1/2,y+1/2,-z'
'x+1/2,-y+1/2,z'
loop_
_atom_site_label
_atom_site_type_symbol
_atom_site_fract_x
_atom_site_fract_y
_atom_site_fract_z
_atom_site_occupancy
Na1 Na 0.000 0.151 0.000 1
Tm1 Tm 0.000 0.338 0.500 1
Os1 Os 0.000 0.000 0.500 1
O1 O 0.203 0.159 0.692 1
O2 O 0.248 0.500 0.704 1
```

The 6 most intense peaks (10 to 90 degrees two-theta), by angle:
2θ = 15.6°, I = 1000, hkl 0 0 1
2θ = 31.5°, I = 173, hkl 0 0 2
2θ = 32.0°, I = 283, hkl 1 3 0
2θ = 33.7°, I = 264, hkl 1 3 -1
2θ = 37.8°, I = 373, hkl 1 3 1
2θ = 39.2°, I = 174, hkl 2 0 -2

=====

Theoretical powder XRD pattern of Na2ZrOs3O12 for Cu Kα (λ = 1.5418 Å), from a DFT-relaxed cell (GGA-PBE, Alexandria).

Atomic structure:
```
data_Na2ZrOs3O12
_space_group_name_H-M_alt 'R -3 m'
_space_group_IT_number 166
_space_group_name_Hall '-R 3 2"'
_cell_length_a 7.2573
_cell_length_b 7.2573
_cell_length_c 18.4476
_cell_angle_alpha 90.00
_cell_angle_beta 90.00
_cell_angle_gamma 120.00
loop_
_atom_site_label
_atom_site_type_symbol
_atom_site_fract_x
_atom_site_fract_y
_atom_site_fract_z
_atom_site_occupancy
Na1 Na 0.0000 0.0000 0.1929 1
Zr1 Zr 0.0000 0.0000 0.5000 1
Os1 Os 0.0000 0.5000 0.0000 1
O1 O 0.0508 0.5254 0.1033 1
O2 O 0.0836 0.5418 0.3454 1
```

The 6 most intense peaks (10 to 90 degrees two-theta), by angle:
2θ = 14.4°, I = 828, hkl 0 0 3
2θ = 14.9°, I = 1000, hkl 1 0 1
2θ = 28.6°, I = 456, hkl 1 1 3
2θ = 28.8°, I = 534, hkl 0 2 1
2θ = 30.0°, I = 688, hkl 2 0 2
2θ = 34.5°, I = 352, hkl 0 2 4

=====

Theoretical powder XRD pattern of Na5P3O10 for Cu Kα (λ = 1.5418 Å), from a DFT-relaxed cell (GGA-PBE, Alexandria).

Atomic structure:
```
data_Na5P3O10
_space_group_name_H-M_alt 'C 1 2/c 1'
_space_group_IT_number 15
_cell_length_a 16.311
_cell_length_b 5.286
_cell_length_c 11.341
_cell_angle_alpha 90.00
_cell_angle_beta 93.53
_cell_angle_gamma 90.00
loop_
_space_group_symop_operation_xyz
'x,y,z'
'-x,-y,-z'
'-x,y,-z+1/2'
'x,-y,z+1/2'
'x+1/2,y+1/2,z'
'-x+1/2,-y+1/2,-z'
'-x+1/2,y+1/2,-z+1/2'
'x+1/2,-y+1/2,z+1/2'
loop_
_atom_site_label
_atom_site_type_symbol
_atom_site_fract_x
_atom_site_fract_y
_atom_site_fract_z
_atom_site_occupancy
Na1 Na 0.042 0.236 0.462 1
Na2 Na 0.160 0.229 0.206 1
Na3 Na 0.250 0.250 0.500 1
P1 P 0.000 0.192 0.750 1
P2 P 0.147 0.303 0.900 1
O1 O 0.038 0.043 0.653 1
O2 O 0.066 0.393 0.806 1
O3 O 0.121 0.410 0.018 1
O4 O 0.152 0.016 0.893 1
O5 O 0.218 0.448 0.850 1
```

The 6 most intense peaks (10 to 90 degrees two-theta), by angle:
2θ = 18.5°, I = 795, hkl 2 0 -2
2θ = 19.2°, I = 753, hkl 1 1 -1
2θ = 29.3°, I = 384, hkl 1 1 -3
2θ = 32.8°, I = 1000, hkl 3 1 -3
2θ = 33.7°, I = 557, hkl 5 1 1
2θ = 34.2°, I = 624, hkl 3 1 3

=====

Theoretical powder XRD pattern of NaPO for Cu Kα (λ = 1.5418 Å), from a DFT-relaxed cell (GGA-PBE, Alexandria).

Atomic structure:
```
data_NaPO
_space_group_name_H-M_alt 'I m m a'
_space_group_IT_number 74
_space_group_name_Hall '-I 2b 2'
_cell_length_a 7.334
_cell_length_b 8.644
_cell_length_c 2.801
_cell_angle_alpha 90.00
_cell_angle_beta 90.00
_cell_angle_gamma 90.00
loop_
_atom_site_label
_atom_site_type_symbol
_atom_site_fract_x
_atom_site_fract_y
_atom_site_fract_z
_atom_site_occupancy
Na1 Na 0.000 0.000 0.000 1
P1 P 0.250 0.250 0.250 1
O1 O 0.000 0.250 0.285 1
```

The 6 most intense peaks (10 to 90 degrees two-theta), by angle:
2θ = 20.5°, I = 548, hkl 0 2 0
2θ = 32.0°, I = 761, hkl 2 2 0
2θ = 33.6°, I = 1000, hkl 0 1 1
2θ = 40.3°, I = 420, hkl 1 2 1
2θ = 41.8°, I = 596, hkl 0 4 0
2θ = 45.1°, I = 387, hkl 0 3 1

=====

Theoretical powder XRD pattern of Na4P6PbO18 for Cu Kα (λ = 1.5418 Å), from a DFT-relaxed cell (GGA-PBE, Alexandria).

Atomic structure:
```
data_Na4P6PbO18
_space_group_name_H-M_alt 'P 1'
_space_group_IT_number 1
_cell_length_a 7.656
_cell_length_b 7.920
_cell_length_c 7.922
_cell_angle_alpha 119.33
_cell_angle_beta 98.89
_cell_angle_gamma 97.00
loop_
_space_group_symop_operation_xyz
'x,y,z'
loop_
_atom_site_label
_atom_site_type_symbol
_atom_site_fract_x
_atom_site_fract_y
_atom_site_fract_z
_atom_site_occupancy
Na1 Na 0.000 0.000 0.000 1
Na2 Na 0.029 0.547 0.544 1
Na3 Na 0.346 0.726 0.024 1
Na4 Na 0.688 0.873 0.528 1
P1 P 0.075 0.238 0.737 1
P2 P 0.075 0.873 0.365 1
P3 P 0.329 0.992 0.742 1
P4 P 0.379 0.425 0.314 1
P5 P 0.630 0.183 0.338 1
P6 P 0.632 0.559 0.698 1
Pb1 Pb 0.732 0.403 0.045 1
O1 O 0.042 0.095 0.496 1
O2 O 0.104 0.845 0.173 1
O3 O 0.105 0.447 0.783 1
O4 O 0.178 0.385 0.257 1
O5 O 0.225 0.869 0.805 1
O6 O 0.267 0.202 0.817 1
O7 O 0.268 0.889 0.499 1
O8 O 0.436 0.213 0.252 1
O9 O 0.442 0.541 0.558 1
O10 O 0.498 0.535 0.246 1
O11 O 0.533 0.045 0.799 1
O12 O 0.592 0.590 0.890 1
O13 O 0.601 0.976 0.295 1
O14 O 0.660 0.332 0.578 1
O15 O 0.777 0.264 0.271 1
O16 O 0.784 0.700 0.702 1
O17 O 0.928 0.158 0.804 1
O18 O 0.929 0.725 0.365 1
```

The 6 most intense peaks (10 to 90 degrees two-theta), by angle:
2θ = 13.0°, I = 521, hkl 0 1 -1
2θ = 13.2°, I = 580, hkl 0 1 0
2θ = 15.7°, I = 487, hkl 1 -1 0
2θ = 24.0°, I = 451, hkl 1 1 -2
2θ = 28.6°, I = 608, hkl -2 1 1
2θ = 29.0°, I = 1000, hkl 1 -2 2